[1]
Computed powder diffraction line list of Pm4Dy7Ho for Cu Ka, from a structure optimized by DFT (GGA-PBE).

Structure:
a b c (Å): 6.543 6.830 9.099
angles (deg): 85.34 77.19 82.05
Space group P-1 (No. 2)
Symmetry-distinct sites (fractional):
Pm1 0.139 0.310 0.283 [2 per cell]
Pm2 0.339 0.884 0.693 [2 per cell]
Dy1 0.012 0.253 0.949 [2 per cell]
Dy2 0.183 0.802 0.359 [2 per cell]
Dy3 0.311 0.394 0.615 [2 per cell]
Dy4 0.500 0.000 0.000 [1 per cell]
Ho1 0.500 0.500 0.000 [1 per cell]

Largest 10 diffraction maxima, in order of rising 2θ, 2θ from 10° to 90°:
hkl 0 0 3, 30.26 deg, rel. 35; hkl 2 0 2, 31.02 deg, rel. 38; hkl 1 -2 0, 31.57 deg, rel. 100; hkl 2 0 -1, 31.98 deg, rel. 62; hkl 1 2 2, 32.25 deg, rel. 34; hkl 0 1 3, 32.45 deg, rel. 17; hkl 1 -2 3, 43.05 deg, rel. 11; hkl -1 2 3, 45.46 deg, rel. 11; hkl 3 2 1, 46.66 deg, rel. 13; hkl 3 2 -2, 56.86 deg, rel. 18

[2]
Computed powder diffraction line list of Rb2AgC2O6 for Cu Ka, from a structure optimized by DFT (GGA-PBE).

Structure:
a b c (Å): 11.984 5.210 6.773
angles (deg): 90.00 116.93 90.00
Space group C2/m (No. 12)
Symmetry-distinct sites (fractional):
Rb1 0.191 0.000 0.196 [4 per cell]
Ag1 0.000 0.000 0.500 [2 per cell]
C1 0.002 0.500 0.277 [4 per cell]
O1 0.065 0.288 0.766 [8 per cell]
O2 0.120 0.500 0.349 [4 per cell]

Largest 10 diffraction maxima, in order of rising 2θ, 2θ from 10° to 90°:
hkl 1 1 0, 18.95 deg, rel. 48; hkl 1 1 1, 26.30 deg, rel. 86; hkl 2 0 1, 26.83 deg, rel. 54; hkl 3 1 -1, 28.36 deg, rel. 100; hkl 4 0 -1, 29.82 deg, rel. 70; hkl 1 1 -2, 31.92 deg, rel. 61; hkl 3 1 -2, 33.67 deg, rel. 54; hkl 2 2 -2, 43.98 deg, rel. 38; hkl 2 2 1, 44.17 deg, rel. 52; hkl 5 1 0, 45.91 deg, rel. 40

[3]
Computed powder diffraction line list of TbPm4Te4 for Cu Ka, from a structure optimized by DFT (GGA-PBE).

Structure:
a b c (Å): 7.947 7.947 10.217
angles (deg): 90.00 90.00 90.00
Space group I-42m (No. 121)
Symmetry-distinct sites (fractional):
Tb1 0.000 0.000 0.000 [2 per cell]
Pm1 0.000 0.000 0.329 [4 per cell]
Pm2 0.000 0.500 0.000 [4 per cell]
Te1 0.230 0.230 0.139 [8 per cell]

Largest 10 diffraction maxima, in order of rising 2θ, 2θ from 10° to 90°:
hkl 1 1 2, 23.53 deg, rel. 95; hkl 1 0 3, 28.49 deg, rel. 55; hkl 2 2 0, 31.85 deg, rel. 100; hkl 2 1 3, 36.54 deg, rel. 53; hkl 3 1 2, 39.98 deg, rel. 42; hkl 2 0 4, 42.05 deg, rel. 39; hkl 3 0 3, 43.27 deg, rel. 22; hkl 4 0 0, 45.66 deg, rel. 35; hkl 4 1 3, 54.70 deg, rel. 19; hkl 4 2 4, 63.80 deg, rel. 21